The following is a simulated powder diffractogram of KCr2Bi. It was derived from the PBE geometry in Alexandria, using CuKα.

Peak list (10 most intense, 10° ≤ 2θ ≤ 90°, low angle first)
d (Å)  2θ (°)  I/Imax  index
5.529  16.0  1000  1 0 1
3.753  23.7  856  1 1 2
2.890  30.9  220  2 0 0
2.500  35.9  296  1 1 6
2.468  36.4  285  2 0 4
2.392  37.6  252  2 1 3
2.135  42.3  216  2 1 5
1.877  48.5  253  2 2 4
1.795  50.9  219  3 1 2
1.582  58.3  152  3 1 6

```
data_KCr2Bi
_chemical_formula_sum 'K4 Cr8 Bi4'
_symmetry_space_group_name_H-M 'P 1'
_symmetry_Int_Tables_number 1
_cell_length_a 5.780
_cell_length_b 5.780
_cell_length_c 18.962
_cell_angle_alpha 90.00
_cell_angle_beta 90.00
_cell_angle_gamma 90.00
loop_
_symmetry_equiv_pos_as_xyz
'x,y,z'
loop_
_atom_site_label
_atom_site_fract_x
_atom_site_fract_y
_atom_site_fract_z
K1 0.000 0.250 0.375
K2 0.000 0.750 0.625
K3 0.500 0.250 0.125
K4 0.500 0.750 0.875
Cr1 0.000 0.000 0.000
Cr2 0.000 0.500 0.000
Cr3 0.250 0.250 0.750
Cr4 0.250 0.750 0.250
Cr5 0.500 0.000 0.500
Cr6 0.500 0.500 0.500
Cr7 0.750 0.250 0.750
Cr8 0.750 0.750 0.250
Bi1 0.000 0.250 0.875
Bi2 0.000 0.750 0.125
Bi3 0.500 0.250 0.625
Bi4 0.500 0.750 0.375
```